Structure and theoretical XRD peak list of Cr3Br5F (a DFT-relaxed cell (GGA+U, Alexandria); Cu Kα).
No peak broadening, texture or thermal motion is included.

```
18
Lattice="7.707 0.000 0.000 -1.338 8.487 0.000 -0.513 -3.047 10.114" Properties=species:S:1:pos:R:3 pbc="T T T"
Cr 0.000 0.000 0.000
Cr -0.431 4.061 3.918
Cr 0.473 5.717 1.000
Cr 3.853 0.000 0.000
Cr 5.384 -0.277 9.114
Cr 6.287 1.379 6.196
Br -0.285 2.322 1.083
Br -0.222 -0.400 7.627
Br 0.776 2.317 5.320
Br 1.755 5.094 3.110
Br 2.094 2.943 9.742
Br 3.762 2.498 0.372
Br 4.102 0.346 7.004
Br 5.081 3.123 4.794
Br 6.079 5.840 2.487
Br 6.141 3.118 9.032
F 0.581 8.311 0.572
F 5.275 -2.871 9.542
```

Most intense lines, 5° ≤ 2θ ≤ 70°, sorted by position:
2theta  d_spacing  Rel. int.  hkl
8.7  10.114  62  0 0 1
10.9  8.126  46  0 1 0
11.7  7.577  30  1 0 0
15.8  5.596  100  0 1 1
25.5  3.487  34  0 1 -3
25.9  3.441  32  2 0 1
31.0  2.887  26  1 -2 3
31.6  2.828  26  0 3 -1
32.0  2.798  30  0 2 2
33.8  2.649  24  2 0 -3